Record 1
Simulated powder X-ray diffraction pattern
Compound: TmNiPd
Radiation: CuKα
Structure: a cell relaxed with GGA-PBE
Peak positions follow from Bragg's law for the DFT cell and can differ from measured ones.

Main lines, by intensity (2θ from 5° to 70°):
2theta, d_spacing, I_rel
36.74, 2.446, 100.0
40.58, 2.223, 97.8
28.72, 3.109, 74.2
38.20, 2.356, 56.9
43.76, 2.069, 48.2
40.34, 2.236, 45.5

Structure:
a b c (Å): 4.998 4.998 5.508
angles (deg): 90.00 90.00 131.10
Positions (direct):
Tm 0.195 0.805 0.750
Tm 0.805 0.195 0.250
Ni 0.099 0.901 0.250
Ni 0.901 0.099 0.750
Pd 0.500 0.500 0.000
Pd 0.500 0.500 0.500

***

Record 2
Simulated powder X-ray diffraction pattern
Compound: La3Y2Hg3
Radiation: CuKα
Structure: a cell relaxed with GGA-PBE
Peak positions follow from Bragg's law for the DFT cell and can differ from measured ones.

Main lines, by intensity (2θ from 5° to 70°):
2theta, d_spacing, I_rel
32.42, 2.761, 100.0
32.10, 2.788, 26.4
31.36, 2.853, 25.2
57.43, 1.605, 19.7
45.49, 1.994, 18.2
56.50, 1.629, 17.2

Structure:
a b c (Å): 11.902 11.902 11.902
angles (deg): 161.50 152.90 33.01
Positions (direct):
La 0.000 0.000 0.000
La 0.378 0.878 0.500
La 0.622 0.122 0.500
Y 0.234 0.234 0.000
Y 0.766 0.766 0.000
Hg 0.126 0.626 0.500
Hg 0.500 0.500 0.000
Hg 0.874 0.374 0.500